NaMg14Nb: simulated powder X-ray diffraction pattern (Cu Kα, 1.54184 Å), based on DFT lattice parameters and positions (GGA-PBE).
No peak broadening, texture or thermal motion is included.

Structural model:
abc: 10.1320 6.3834 6.3834
angles: 61.37 90.00 90.00
Fractional coordinates of all 16 atoms:
Na (0.0000, 0.0000, 0.0000)
Mg (0.0000, 0.5057, 0.9983)
Mg (0.0000, 0.9983, 0.5057)
Mg (0.2435, 0.6624, 0.6624)
Mg (0.2461, 0.1798, 0.6599)
Mg (0.2461, 0.6599, 0.1798)
Mg (0.2517, 0.1698, 0.1698)
Mg (0.5000, 0.9996, 0.9996)
Mg (0.5000, 0.5004, 0.5004)
Mg (0.5000, 0.5020, 0.9995)
Mg (0.5000, 0.9995, 0.5020)
Mg (0.7483, 0.1698, 0.1698)
Mg (0.7539, 0.1798, 0.6599)
Mg (0.7539, 0.6599, 0.1798)
Mg (0.7565, 0.6624, 0.6624)
Nb (0.0000, 0.4957, 0.4957)

Most intense lines, 2θ = 10–90°, sorted by position:
2θ 15.82, intensity 14.8
2θ 18.09, intensity 18.3
2θ 31.95, intensity 24.3
2θ 32.63, intensity 14.9
2θ 35.44, intensity 35.9
2θ 36.66, intensity 100.0
2θ 37.26, intensity 45.5
2θ 57.79, intensity 16.3
2θ 64.42, intensity 17.7
2θ 69.65, intensity 30.8

=====

HfScSi2: simulated powder X-ray diffraction pattern (Cu Kα, 1.54184 Å), based on DFT lattice parameters and positions (GGA-PBE).
No peak broadening, texture or thermal motion is included.

Structural model:
abc: 3.7102 5.2844 5.2844
angles: 42.69 90.00 90.00
Fractional coordinates of all 4 atoms:
Hf (0.0000, 0.0000, 0.0000)
Sc (0.5000, 0.2824, 0.2824)
Si (0.0000, 0.7217, 0.7217)
Si (0.5000, 0.5574, 0.5574)

Most intense lines, 2θ = 10–90°, sorted by position:
2θ 18.02, intensity 43.8
2θ 23.98, intensity 23.2
2θ 24.85, intensity 45.0
2θ 30.16, intensity 44.4
2θ 34.81, intensity 100.0
2θ 35.98, intensity 41.7
2θ 36.51, intensity 26.2
2θ 43.70, intensity 44.7
2θ 44.16, intensity 18.3
2θ 47.26, intensity 17.2